Diffraction record for NaLaMnWO6. The X-ray powder pattern is theoretical, not measured: it uses a cell relaxed with PBE+U and λ = 1.5418 Å (Cu Kα).
No peak broadening, texture or thermal motion is included.

Top 10 peaks for 2θ from 15° to 90°, low angle first:
| 2theta | I/Imax | (hkl) |
| --- | --- | --- |
| 19.01 | 18 | 0 1 1 |
| 19.18 | 18 | 1 0 -1 |
| 22.17 | 9 | 1 1 0 |
| 24.77 | 19 | 1 1 1 |
| 31.36 | 100 | 0 2 0 |
| 31.78 | 19 | 2 0 0 |
| 44.68 | 11 | 0 0 4 |
| 45.23 | 21 | 2 2 0 |
| 55.79 | 20 | 2 0 -4 |
| 56.42 | 9 | 3 1 2 |

Cell and atoms:
```
data_NaLaMnWO6
_space_group_name_H-M_alt 'P 1'
_space_group_IT_number 1
_cell_length_a 5.6321
_cell_length_b 5.7104
_cell_length_c 8.1129
_cell_angle_alpha 90.00
_cell_angle_beta 90.17
_cell_angle_gamma 90.00
loop_
_space_group_symop_operation_xyz
'x,y,z'
loop_
_atom_site_label
_atom_site_fract_x
_atom_site_fract_y
_atom_site_fract_z
Na1 0.2476 0.0000 0.0003
Na2 0.7524 0.5000 0.9997
La1 0.2580 0.0664 0.5004
La2 0.7420 0.5664 0.4996
Mn1 0.2500 0.5283 0.7626
Mn2 0.7500 0.0283 0.2374
W1 0.2450 0.5224 0.2388
W2 0.7550 0.0224 0.7612
O1 0.0371 0.2061 0.7772
O2 0.0727 0.2323 0.2168
O3 0.1639 0.4986 0.4899
O4 0.3336 0.5527 0.0183
O5 0.4491 0.7895 0.3083
O6 0.4780 0.8202 0.6938
O7 0.5220 0.3202 0.3062
O8 0.5509 0.2895 0.6917
O9 0.6664 0.0527 0.9817
O10 0.8361 0.9986 0.5101
O11 0.9273 0.7323 0.7832
O12 0.9629 0.7061 0.2228
```